[1]
This entry pairs a crystal structure of Hg3Se with its calculated powder XRD pattern. Radiation: Cu Ka. Structure: a DFT-relaxed cell (GGA-PBE, Alexandria).
No peak broadening, texture or thermal motion is included.

Atomic structure:
```
data_Hg3Se
_chemical_formula_sum 'Hg6 Se2'
_cell_length_a 3.003
_cell_length_b 11.393
_cell_length_c 6.296
_cell_angle_alpha 90.00
_cell_angle_beta 90.00
_cell_angle_gamma 90.00
_symmetry_space_group_name_H-M 'I m m 2'
_symmetry_Int_Tables_number 44
_symmetry_space_group_name_Hall 'I 2 -2'
loop_
_atom_site_label
_atom_site_type_symbol
_atom_site_fract_x
_atom_site_fract_y
_atom_site_fract_z
Hg1 Hg 0.000 0.000 0.000
Hg2 Hg 0.000 0.253 0.001
Se1 Se 0.000 0.500 0.002
```

Peak list (6 most intense, 2θ = 5–70°, in order of rising 2θ)
hkl 0 0 2, 28.35°, intensity 74
hkl 0 4 0, 31.41°, intensity 57
hkl 1 0 1, 33.05°, intensity 100
hkl 0 4 2, 42.82°, intensity 49
hkl 1 4 1, 46.24°, intensity 79
hkl 1 4 3, 63.14°, intensity 32

***

[2]
This entry pairs a crystal structure of Hg4Se with its calculated powder XRD pattern. Radiation: Cu Ka. Structure: a DFT-relaxed cell (GGA-PBE, Alexandria).
No peak broadening, texture or thermal motion is included.

Atomic structure:
```
data_Hg4Se
_chemical_formula_sum 'Hg8 Se2'
_cell_length_a 8.121
_cell_length_b 8.121
_cell_length_c 4.072
_cell_angle_alpha 90.00
_cell_angle_beta 90.00
_cell_angle_gamma 90.00
_symmetry_space_group_name_H-M 'I 4/m m m'
_symmetry_Int_Tables_number 139
_symmetry_space_group_name_Hall '-I 4 2'
loop_
_atom_site_label
_atom_site_type_symbol
_atom_site_fract_x
_atom_site_fract_y
_atom_site_fract_z
Hg1 Hg 0.000 0.286 0.000
Se1 Se 0.000 0.000 0.500
```

Peak list (6 most intense, 2θ = 5–70°, in order of rising 2θ)
hkl 1 0 1, 24.45°, intensity 20
hkl 2 2 0, 31.15°, intensity 43
hkl 2 1 1, 33.05°, intensity 100
hkl 3 0 1, 39.99°, intensity 35
hkl 4 0 0, 44.63°, intensity 21
hkl 5 2 1, 66.07°, intensity 32